This entry pairs a crystal structure of MgZnCo4O8 with its calculated XRD peak list. Radiation: CuKα. Structure: the PBE+U geometry in the Materials Project.
Neutral-atom scattering factors, no anomalous dispersion.

The 10 most intense peaks (2θ from 15° to 90°), by intensity:
2theta  d/Å  Rel. int.  h k l
35.4  2.538  100.0  1 0 1
24.5  3.626  83.5  0 2 -1
31.5  2.844  70.7  0 1 2
26.2  3.395  69.3  0 2 0
28.5  3.134  55.9  0 2 -2
36.4  2.469  55.7  0 2 -3
32.8  2.733  53.8  0 2 1
34.0  2.639  53.2  1 0 -2
60.2  1.537  49.2  -2 1 1
33.5  2.679  48.6  1 -1 1

Crystal structure
```
data_MgZnCo4O8
_chemical_formula_sum 'Mg1 Zn1 Co4 O8'
_space_group_name_H-M_alt 'P 1'
_space_group_IT_number 1
_cell_length_a 3.080
_cell_length_b 7.384
_cell_length_c 8.073
_cell_angle_alpha 109.03
_cell_angle_beta 100.02
_cell_angle_gamma 99.13
loop_
_space_group_symop_operation_xyz
'x,y,z'
loop_
_atom_site_label
_atom_site_type_symbol
_atom_site_fract_x
_atom_site_fract_y
_atom_site_fract_z
Mg1 Mg 0.000 0.000 0.000
Zn1 Zn 0.937 0.634 0.327
Co1 Co 0.167 0.430 0.922
Co2 Co 0.328 0.999 0.668
Co3 Co 0.611 0.642 0.665
Co4 Co 0.772 0.207 0.407
O1 O 0.018 0.156 0.828
O2 O 0.281 0.123 0.502
O3 O 0.332 0.565 0.162
O4 O 0.345 0.839 0.813
O5 O 0.607 0.803 0.523
O6 O 0.610 0.085 0.169
O7 O 0.659 0.516 0.831
O8 O 0.920 0.484 0.507
```